# 1
For Na3Zr2Si2PO12, a DFT-relaxed cell (GGA-PBE, the Materials Project) gives the calculated powder diffractogram in this record (a wavelength of 1.5418 Å).
Neutral-atom scattering factors, no anomalous dispersion.

Top 8 peaks for 2θ = 5–70°, by angle:
index	Position (°2θ)	I_rel
2 0 -2	19.20	100
0 2 1	22.54	17
2 2 -2	27.25	17
0 2 2	30.52	44
3 1 1	30.62	22
3 3 -1	33.62	41
6 2 -4	45.99	18
6 4 -2	52.39	16

Cell and atoms:
```
data_Na3Zr2Si2PO12
_cell_length_a 15.971
_cell_length_b 9.248
_cell_length_c 9.268
_cell_angle_alpha 90.00
_cell_angle_beta 125.29
_cell_angle_gamma 90.00
_space_group_name_H-M_alt 'C 1 c 1'
_space_group_IT_number 9
loop_
_space_group_symop_operation_xyz
'x,y,z'
'x,-y,z+1/2'
'x+1/2,y+1/2,z'
'x+1/2,-y+1/2,z+1/2'
loop_
_atom_site_label
_atom_site_fract_x
_atom_site_fract_y
_atom_site_fract_z
Na1 0.000 0.064 0.000
Na2 0.071 0.241 0.741
Na3 0.134 0.429 0.490
Zr1 0.212 0.243 0.178
Zr2 0.412 0.250 0.796
Si1 0.161 0.101 0.475
Si2 0.311 0.456 0.985
P1 0.464 0.102 0.497
O1 0.050 0.322 0.994
O2 0.071 0.184 0.480
O3 0.149 0.074 0.988
O4 0.150 0.136 0.292
O5 0.230 0.359 0.997
O6 0.244 0.438 0.311
O7 0.270 0.168 0.641
O8 0.361 0.167 0.339
O9 0.383 0.439 0.660
O10 0.393 0.356 0.975
O11 0.473 0.062 0.979
O12 0.475 0.133 0.671
```

# 2
For SnP3O9, a DFT-relaxed cell (GGA-PBE, the Materials Project) gives the calculated powder diffractogram in this record (a wavelength of 1.5418 Å).
Neutral-atom scattering factors, no anomalous dispersion.

Top 8 peaks for 2θ = 5–70°, by angle:
index	Position (°2θ)	I_rel
1 0 -1	10.87	100
1 1 -2	18.11	41
1 -2 1	18.96	62
0 0 2	20.04	52
2 0 0	21.99	49
-1 1 2	22.69	35
1 2 -1	23.20	63
2 -3 1	29.63	55

Cell and atoms:
```
data_SnP3O9
_cell_length_a 9.483
_cell_length_b 10.202
_cell_length_c 10.585
_cell_angle_alpha 109.03
_cell_angle_beta 109.55
_cell_angle_gamma 105.69
_space_group_name_H-M_alt 'P -1'
_space_group_IT_number 2
loop_
_space_group_symop_operation_xyz
'x,y,z'
'-x,-y,-z'
loop_
_atom_site_label
_atom_site_fract_x
_atom_site_fract_y
_atom_site_fract_z
Sn1 0.198 0.362 0.308
Sn2 0.265 0.763 0.229
P1 0.079 0.184 0.901
P2 0.120 0.477 0.873
P3 0.184 0.944 0.799
P4 0.296 0.538 0.691
P5 0.350 0.991 0.607
P6 0.402 0.286 0.599
O1 0.034 0.797 0.736
O2 0.067 0.572 0.182
O3 0.108 0.858 0.166
O4 0.109 0.072 0.779
O5 0.147 0.484 0.739
O6 0.155 0.193 0.052
O7 0.168 0.347 0.902
O8 0.202 0.499 0.528
O9 0.225 0.911 0.652
O10 0.228 0.630 0.014
O11 0.304 0.129 0.597
O12 0.311 0.881 0.452
O13 0.332 0.007 0.942
O14 0.350 0.269 0.442
O15 0.351 0.397 0.696
O16 0.412 0.664 0.309
O17 0.432 0.686 0.808
O18 0.470 0.941 0.273
```

# 3
For NpTe3, a DFT-relaxed cell (GGA-PBE, the Materials Project) gives the calculated powder diffractogram in this record (a wavelength of 1.5418 Å).
Neutral-atom scattering factors, no anomalous dispersion.

Top 8 peaks for 2θ = 5–70°, by angle:
index	Position (°2θ)	I_rel
0 2 0	6.22	100
0 8 0	25.06	29
1 1 1	29.80	56
1 3 1	31.13	35
0 8 1	32.09	18
1 7 1	37.14	75
0 0 2	40.06	22
2 0 0	44.63	21

Cell and atoms:
```
data_NpTe3
_cell_length_a 4.059
_cell_length_b 28.432
_cell_length_c 4.502
_cell_angle_alpha 90.00
_cell_angle_beta 90.00
_cell_angle_gamma 90.00
_space_group_name_H-M_alt 'C m c m'
_space_group_IT_number 63
_space_group_name_Hall '-C 2c 2'
loop_
_atom_site_label
_atom_site_fract_x
_atom_site_fract_y
_atom_site_fract_z
Np1 0.000 0.041 0.250
Te1 0.000 0.160 0.250
Te2 0.000 0.314 0.250
Te3 0.000 0.443 0.250
```